No. 1
# La3Mg3Zn8
Theoretical powder diffraction line list, CuKα. Input: a cell relaxed with PBE.

Largest 12 diffraction maxima, by angle, 2θ from 10° to 90°:
2θ (°), d [Å], intensity
12.60, 7.026, 326
27.03, 3.298, 266
32.11, 2.787, 353
33.44, 2.680, 378
33.48, 2.676, 1000
35.15, 2.553, 863
37.51, 2.398, 182
38.44, 2.342, 250
38.77, 2.323, 490
51.19, 1.784, 186
64.96, 1.435, 222
66.82, 1.400, 199

```
data_La3Mg3Zn8
_symmetry_space_group_name_H-M 'P 1'
_symmetry_Int_Tables_number 1
_cell_length_a 8.7019
_cell_length_b 8.7019
_cell_length_c 8.7019
_cell_angle_alpha 149.04
_cell_angle_beta 116.50
_cell_angle_gamma 72.32
loop_
_symmetry_equiv_pos_as_xyz
'x,y,z'
loop_
_atom_site_label
_atom_site_fract_x
_atom_site_fract_y
_atom_site_fract_z
La1 0.0000 0.0000 0.0000
La2 0.2962 0.2962 0.0000
La3 0.7038 0.7038 0.0000
Mg1 0.2980 0.5000 0.7980
Mg2 0.5000 0.0000 0.5000
Mg3 0.7020 0.5000 0.2020
Zn1 0.0261 0.6644 0.3617
Zn2 0.1285 0.8542 0.2743
Zn3 0.3027 0.6644 0.6383
Zn4 0.4201 0.1458 0.2743
Zn5 0.5799 0.8542 0.7257
Zn6 0.6973 0.3356 0.3617
Zn7 0.8715 0.1458 0.7257
Zn8 0.9739 0.3356 0.6383
```

=====

No. 2
# La5MgZn4
Theoretical powder diffraction line list, CuKα. Input: a cell relaxed with PBE.

Largest 12 diffraction maxima, by angle, 2θ from 10° to 90°:
2θ (°), d [Å], intensity
23.29, 3.819, 79
23.44, 3.796, 181
33.28, 2.692, 1000
33.38, 2.684, 529
41.11, 2.196, 72
47.62, 1.910, 77
47.93, 1.898, 190
53.99, 1.698, 72
59.40, 1.556, 152
59.60, 1.551, 365
69.88, 1.346, 92
79.89, 1.201, 158

```
data_La5MgZn4
_symmetry_space_group_name_H-M 'P 1'
_symmetry_Int_Tables_number 1
_cell_length_a 3.7958
_cell_length_b 3.7958
_cell_length_c 19.0940
_cell_angle_alpha 90.00
_cell_angle_beta 90.00
_cell_angle_gamma 90.00
loop_
_symmetry_equiv_pos_as_xyz
'x,y,z'
loop_
_atom_site_label
_atom_site_fract_x
_atom_site_fract_y
_atom_site_fract_z
La1 0.0000 0.0000 0.0000
La2 0.0000 0.0000 0.1957
La3 0.0000 0.0000 0.3860
La4 0.0000 0.0000 0.6140
La5 0.0000 0.0000 0.8043
Mg1 0.5000 0.5000 0.5000
Zn1 0.5000 0.5000 0.0980
Zn2 0.5000 0.5000 0.2936
Zn3 0.5000 0.5000 0.7064
Zn4 0.5000 0.5000 0.9020
```

=====

No. 3
# La3Mg2Zn7
Theoretical powder diffraction line list, CuKα. Input: a cell relaxed with PBE.

Largest 12 diffraction maxima, by angle, 2θ from 10° to 90°:
2θ (°), d [Å], intensity
29.38, 3.040, 554
31.29, 2.859, 392
32.13, 2.786, 476
36.44, 2.466, 580
36.91, 2.435, 189
37.28, 2.412, 1000
40.10, 2.248, 375
54.51, 1.683, 205
56.22, 1.636, 174
59.68, 1.549, 246
60.93, 1.520, 236
65.27, 1.430, 273

```
data_La3Mg2Zn7
_symmetry_space_group_name_H-M 'P 1'
_symmetry_Int_Tables_number 1
_cell_length_a 9.5721
_cell_length_b 9.5721
_cell_length_c 9.5721
_cell_angle_alpha 34.76
_cell_angle_beta 34.76
_cell_angle_gamma 34.76
loop_
_symmetry_equiv_pos_as_xyz
'x,y,z'
loop_
_atom_site_label
_atom_site_fract_x
_atom_site_fract_y
_atom_site_fract_z
La1 0.0000 0.0000 0.0000
La2 0.1411 0.1411 0.1411
La3 0.8589 0.8589 0.8589
Mg1 0.3341 0.3341 0.3341
Mg2 0.6659 0.6659 0.6659
Zn1 0.0801 0.5863 0.5863
Zn2 0.4137 0.4137 0.9199
Zn3 0.4137 0.9199 0.4137
Zn4 0.5000 0.5000 0.5000
Zn5 0.5863 0.0801 0.5863
Zn6 0.5863 0.5863 0.0801
Zn7 0.9199 0.4137 0.4137
```

=====

No. 4
# LaMg6Zn
Theoretical powder diffraction line list, CuKα. Input: a cell relaxed with PBE.

Largest 12 diffraction maxima, by angle, 2θ from 10° to 90°:
2θ (°), d [Å], intensity
13.05, 6.785, 746
16.10, 5.504, 321
18.25, 4.862, 483
22.50, 3.952, 421
24.43, 3.644, 302
30.81, 2.902, 798
32.17, 2.782, 596
32.54, 2.752, 502
36.31, 2.474, 378
36.98, 2.431, 448
37.56, 2.395, 1000
40.92, 2.205, 324

```
data_LaMg6Zn
_symmetry_space_group_name_H-M 'P 1'
_symmetry_Int_Tables_number 1
_cell_length_a 4.8621
_cell_length_b 7.4234
_cell_length_c 7.4234
_cell_angle_alpha 47.85
_cell_angle_beta 90.00
_cell_angle_gamma 90.00
loop_
_symmetry_equiv_pos_as_xyz
'x,y,z'
loop_
_atom_site_label
_atom_site_fract_x
_atom_site_fract_y
_atom_site_fract_z
La1 0.0000 0.0000 0.0000
Mg1 0.0000 0.4929 0.9793
Mg2 0.0000 0.9793 0.4929
Mg3 0.5000 0.1226 0.6216
Mg4 0.5000 0.1648 0.1648
Mg5 0.5000 0.5827 0.5827
Mg6 0.5000 0.6216 0.1226
Zn1 0.0000 0.4179 0.4179
```

=====

No. 5
# LaMg4Zr
Theoretical powder diffraction line list, CuKα. Input: a cell relaxed with PBE.

Largest 12 diffraction maxima, by angle, 2θ from 10° to 90°:
2θ (°), d [Å], intensity
18.18, 4.879, 482
29.91, 2.988, 878
35.22, 2.548, 1000
46.86, 1.939, 128
53.09, 1.725, 344
56.59, 1.626, 332
62.13, 1.494, 219
65.33, 1.428, 94
70.47, 1.336, 145
73.48, 1.289, 111
86.10, 1.129, 172
88.97, 1.100, 206

```
data_LaMg4Zr
_symmetry_space_group_name_H-M 'P 1'
_symmetry_Int_Tables_number 1
_cell_length_a 5.9756
_cell_length_b 5.9756
_cell_length_c 5.9756
_cell_angle_alpha 60.00
_cell_angle_beta 60.00
_cell_angle_gamma 60.00
loop_
_symmetry_equiv_pos_as_xyz
'x,y,z'
loop_
_atom_site_label
_atom_site_fract_x
_atom_site_fract_y
_atom_site_fract_z
La1 0.0000 0.0000 0.0000
Mg1 0.1284 0.6239 0.6239
Mg2 0.6239 0.1284 0.6239
Mg3 0.6239 0.6239 0.1284
Mg4 0.6239 0.6239 0.6239
Zr1 0.2500 0.2500 0.2500
```

=====

No. 6
# LaMgZr2
Theoretical powder diffraction line list, CuKα. Input: a cell relaxed with PBE.

Largest 12 diffraction maxima, by angle, 2θ from 10° to 90°:
2θ (°), d [Å], intensity
11.72, 7.552, 271
21.69, 4.098, 144
23.56, 3.776, 152
24.72, 3.602, 143
32.24, 2.777, 1000
34.21, 2.621, 908
35.47, 2.531, 770
41.96, 2.153, 133
44.21, 2.049, 219
57.91, 1.592, 363
60.43, 1.532, 263
64.09, 1.453, 265

```
data_LaMgZr2
_symmetry_space_group_name_H-M 'P 1'
_symmetry_Int_Tables_number 1
_cell_length_a 3.4100
_cell_length_b 4.0976
_cell_length_c 7.5520
_cell_angle_alpha 90.00
_cell_angle_beta 90.00
_cell_angle_gamma 90.00
loop_
_symmetry_equiv_pos_as_xyz
'x,y,z'
loop_
_atom_site_label
_atom_site_fract_x
_atom_site_fract_y
_atom_site_fract_z
La1 0.0000 0.0000 0.0000
Mg1 0.5000 0.5000 0.2926
Zr1 0.0000 0.0000 0.5109
Zr2 0.5000 0.5000 0.7195
```

=====

No. 7
# La5Mn3
Theoretical powder diffraction line list, CuKα. Input: a cell relaxed with PBE.

Largest 12 diffraction maxima, by angle, 2θ from 10° to 90°:
2θ (°), d [Å], intensity
24.23, 3.673, 105
32.51, 2.754, 1000
32.65, 2.742, 83
33.37, 2.685, 71
33.80, 2.652, 229
35.26, 2.546, 229
43.47, 2.082, 84
49.64, 1.836, 153
57.16, 1.611, 73
59.65, 1.550, 137
61.55, 1.507, 175
68.08, 1.377, 75

```
data_La5Mn3
_symmetry_space_group_name_H-M 'P 1'
_symmetry_Int_Tables_number 1
_cell_length_a 6.7429
_cell_length_b 6.7429
_cell_length_c 5.0912
_cell_angle_alpha 90.00
_cell_angle_beta 90.00
_cell_angle_gamma 103.74
loop_
_symmetry_equiv_pos_as_xyz
'x,y,z'
loop_
_atom_site_label
_atom_site_fract_x
_atom_site_fract_y
_atom_site_fract_z
La1 0.0000 0.0000 0.0000
La2 0.0000 0.5000 0.0000
La3 0.2950 0.2950 0.5000
La4 0.5000 0.0000 0.0000
La5 0.7050 0.7050 0.5000
Mn1 0.2118 0.7882 0.5000
Mn2 0.5000 0.5000 0.0000
Mn3 0.7882 0.2118 0.5000
```

=====

No. 8
# LaMnN3
Theoretical powder diffraction line list, CuKα. Input: a cell relaxed with PBE.

Largest 12 diffraction maxima, by angle, 2θ from 10° to 90°:
2θ (°), d [Å], intensity
24.24, 3.672, 320
26.50, 3.363, 208
33.18, 2.700, 1000
34.91, 2.570, 341
41.20, 2.191, 176
45.44, 1.996, 309
45.54, 1.992, 177
49.66, 1.836, 102
55.08, 1.667, 186
59.68, 1.549, 113
63.08, 1.474, 95
66.29, 1.410, 186

```
data_LaMnN3
_symmetry_space_group_name_H-M 'P 1'
_symmetry_Int_Tables_number 1
_cell_length_a 3.9837
_cell_length_b 4.0140
_cell_length_c 4.0140
_cell_angle_alpha 66.16
_cell_angle_beta 90.00
_cell_angle_gamma 90.00
loop_
_symmetry_equiv_pos_as_xyz
'x,y,z'
loop_
_atom_site_label
_atom_site_fract_x
_atom_site_fract_y
_atom_site_fract_z
La1 0.0000 0.0000 0.0000
Mn1 0.5000 0.6475 0.6475
N1 0.0000 0.6475 0.6475
N2 0.5000 0.2111 0.5111
N3 0.5000 0.5111 0.2111
```

=====

No. 9
# La2MnN3
Theoretical powder diffraction line list, CuKα. Input: a cell relaxed with PBE.

Largest 12 diffraction maxima, by angle, 2θ from 10° to 90°:
2θ (°), d [Å], intensity
27.53, 3.240, 186
28.16, 3.169, 338
29.86, 2.993, 403
30.07, 2.972, 372
30.62, 2.919, 293
32.54, 2.752, 374
33.22, 2.697, 249
33.52, 2.674, 1000
34.30, 2.615, 171
35.73, 2.513, 174
36.23, 2.480, 154
41.03, 2.200, 314

```
data_La2MnN3
_symmetry_space_group_name_H-M 'P 1'
_symmetry_Int_Tables_number 1
_cell_length_a 6.1516
_cell_length_b 6.1516
_cell_length_c 12.0117
_cell_angle_alpha 91.64
_cell_angle_beta 91.64
_cell_angle_gamma 128.32
loop_
_symmetry_equiv_pos_as_xyz
'x,y,z'
loop_
_atom_site_label
_atom_site_fract_x
_atom_site_fract_y
_atom_site_fract_z
La1 0.0262 0.4293 0.3506
La2 0.1341 0.3452 0.9306
La3 0.3452 0.1341 0.4306
La4 0.4293 0.0262 0.8506
La5 0.5707 0.9738 0.1494
La6 0.6548 0.8659 0.5694
La7 0.8659 0.6548 0.0694
La8 0.9738 0.5707 0.6494
Mn1 0.2824 0.2825 0.6754
Mn2 0.2825 0.2824 0.1754
Mn3 0.7175 0.7176 0.8246
Mn4 0.7176 0.7175 0.3246
N1 0.0016 0.9984 0.2500
N2 0.1271 0.4654 0.1321
N3 0.1506 0.3385 0.5414
N4 0.3385 0.1506 0.0414
N5 0.3853 0.6147 0.7500
N6 0.4654 0.1271 0.6321
N7 0.5346 0.8729 0.3679
N8 0.6147 0.3853 0.2500
N9 0.6615 0.8494 0.9586
N10 0.8494 0.6615 0.4586
N11 0.8729 0.5346 0.8679
N12 0.9984 0.0016 0.7500
```

=====

No. 10
# LaMnN3
Theoretical powder diffraction line list, CuKα. Input: a cell relaxed with PBE.

Largest 12 diffraction maxima, by angle, 2θ from 10° to 90°:
2θ (°), d [Å], intensity
24.82, 3.587, 491
25.56, 3.485, 444
27.61, 3.231, 1000
29.39, 3.039, 579
34.58, 2.594, 236
35.31, 2.542, 378
36.20, 2.482, 366
39.79, 2.265, 504
41.70, 2.166, 226
46.58, 1.950, 457
50.26, 1.815, 343
51.47, 1.775, 155

```
data_LaMnN3
_symmetry_space_group_name_H-M 'P 1'
_symmetry_Int_Tables_number 1
_cell_length_a 5.0359
_cell_length_b 5.0838
_cell_length_c 10.6458
_cell_angle_alpha 90.00
_cell_angle_beta 108.06
_cell_angle_gamma 90.00
loop_
_symmetry_equiv_pos_as_xyz
'x,y,z'
loop_
_atom_site_label
_atom_site_fract_x
_atom_site_fract_y
_atom_site_fract_z
La1 0.1964 0.2384 0.1698
La2 0.1964 0.2616 0.6698
La3 0.8036 0.7384 0.3302
La4 0.8036 0.7616 0.8302
Mn1 0.4212 0.7243 0.0253
Mn2 0.4212 0.7757 0.5253
Mn3 0.5788 0.2243 0.4747
Mn4 0.5788 0.2757 0.9747
N1 0.1369 0.7352 0.0683
N2 0.1369 0.7648 0.5683
N3 0.3441 0.5210 0.8707
N4 0.3441 0.9790 0.3707
N5 0.3774 0.5121 0.3839
N6 0.3774 0.9879 0.8839
N7 0.6226 0.0121 0.1161
N8 0.6226 0.4879 0.6161
N9 0.6559 0.0210 0.6293
N10 0.6559 0.4790 0.1293
N11 0.8631 0.2352 0.4317
N12 0.8631 0.2648 0.9317
```

=====

No. 11
# LaMn2PN2
Theoretical powder diffraction line list, CuKα. Input: a cell relaxed with PBE.

Largest 12 diffraction maxima, by angle, 2θ from 10° to 90°:
2θ (°), d [Å], intensity
23.11, 3.848, 767
24.47, 3.637, 594
25.28, 3.522, 1000
27.50, 3.243, 433
30.12, 2.967, 784
33.39, 2.684, 663
37.19, 2.417, 480
39.18, 2.299, 665
39.39, 2.287, 338
41.57, 2.173, 463
45.29, 2.002, 457
57.47, 1.603, 409

```
data_LaMn2PN2
_symmetry_space_group_name_H-M 'P 1'
_symmetry_Int_Tables_number 1
_cell_length_a 5.9617
_cell_length_b 4.7808
_cell_length_c 6.8997
_cell_angle_alpha 90.00
_cell_angle_beta 109.95
_cell_angle_gamma 90.00
loop_
_symmetry_equiv_pos_as_xyz
'x,y,z'
loop_
_atom_site_label
_atom_site_fract_x
_atom_site_fract_y
_atom_site_fract_z
La1 0.1803 0.2500 0.3409
La2 0.8197 0.7500 0.6591
Mn1 0.3643 0.9995 0.8040
Mn2 0.3643 0.5005 0.8040
Mn3 0.6357 0.0005 0.1960
Mn4 0.6357 0.4995 0.1960
P1 0.2931 0.7500 0.0580
P2 0.7069 0.2500 0.9420
N1 0.1343 0.2500 0.6901
N2 0.3970 0.7500 0.6226
N3 0.6030 0.2500 0.3774
N4 0.8657 0.7500 0.3099
```

=====

No. 12
# LaMn2PN
Theoretical powder diffraction line list, CuKα. Input: a cell relaxed with PBE.

Largest 12 diffraction maxima, by angle, 2θ from 10° to 90°:
2θ (°), d [Å], intensity
25.05, 3.554, 109
30.75, 2.908, 208
34.74, 2.582, 349
36.17, 2.484, 1000
37.15, 2.420, 301
42.58, 2.123, 136
48.26, 1.886, 178
53.13, 1.724, 129
61.79, 1.501, 120
64.42, 1.446, 123
66.32, 1.409, 93
67.90, 1.380, 99

```
data_LaMn2PN
_symmetry_space_group_name_H-M 'P 1'
_symmetry_Int_Tables_number 1
_cell_length_a 5.6386
_cell_length_b 5.6386
_cell_length_c 6.9476
_cell_angle_alpha 90.00
_cell_angle_beta 90.00
_cell_angle_gamma 140.93
loop_
_symmetry_equiv_pos_as_xyz
'x,y,z'
loop_
_atom_site_label
_atom_site_fract_x
_atom_site_fract_y
_atom_site_fract_z
La1 0.0451 0.9549 0.7500
La2 0.9549 0.0451 0.2500
Mn1 0.3296 0.6704 0.5569
Mn2 0.3296 0.6704 0.9431
Mn3 0.6704 0.3296 0.0569
Mn4 0.6704 0.3296 0.4431
P1 0.2309 0.7691 0.2500
P2 0.7691 0.2309 0.7500
N1 0.5000 0.5000 0.0000
N2 0.5000 0.5000 0.5000
```

=====

> Number 10 is which compound?

LaMnN3